This entry pairs a crystal structure of TaBeAl2 with its simulated powder X-ray diffraction pattern. Radiation: Cu Kα, 1.54184 Å. Structure: DFT lattice parameters and positions (GGA-PBE).
Intensities are scaled so that the largest is 100.

Main lines, by angle (2θ = 15–90°):
2θ (°)	I_rel
20.9	69
26.0	64
26.3	63
34.1	41
39.9	22
40.4	100

Structural model:
```
TaBeAl2
1.0
-1.8464 1.8686 4.2474
1.8464 -1.8686 4.2474
1.8464 1.8686 -4.2474
Ta Be Al
1 1 2
Cartesian
0.0000 0.0000 0.0000
0.0000 1.8686 2.1228
1.8464 0.0000 2.1383
0.0000 0.0000 4.2915
```

---

This entry pairs a crystal structure of Y4HgBiC with its simulated powder X-ray diffraction pattern. Radiation: Cu Kα, 1.54184 Å. Structure: DFT lattice parameters and positions (GGA-PBE).
Intensities are scaled so that the largest is 100.

Main lines, by angle (2θ = 15–90°):
2θ (°)	I_rel
26.0	42
28.4	40
34.7	100
37.1	58
51.4	24
65.4	46

Structural model:
```
Y4HgBiC
1.0
3.4314 -7.8492 0.0000
3.4314 7.8492 0.0000
0.0000 0.0000 6.8486
Y Hg Bi C
8 2 2 2
Cartesian
1.7157 3.9246 0.0000
1.7157 3.9246 3.4243
3.4314 6.5313 5.1364
3.4314 1.4686 5.1364
1.7157 -3.9246 0.0000
1.7157 -3.9246 3.4243
3.4314 -1.4686 1.7121
3.4314 -6.5313 1.7121
3.4314 6.0489 1.7121
3.4314 -6.0489 5.1364
3.4314 1.6887 1.7121
3.4314 -1.6887 5.1364
3.4314 3.9332 5.1364
3.4314 -3.9332 1.7121
```

---

This entry pairs a crystal structure of Rb4I3F with its simulated powder X-ray diffraction pattern. Radiation: Cu Kα, 1.54184 Å. Structure: DFT lattice parameters and positions (GGA-PBE).
Intensities are scaled so that the largest is 100.

Main lines, by angle (2θ = 15–90°):
2θ (°)	I_rel
24.3	51
25.3	85
27.0	64
27.4	68
27.6	100
28.6	82

Structural model:
```
Rb4I3F
1.0
10.3860 0.0000 0.0000
0.0000 12.5642 0.0000
0.0000 0.0000 10.9858
Rb I F
16 12 4
Cartesian
0.1418 3.1411 1.1208
1.8632 0.7626 5.1301
1.8632 5.5195 5.1301
2.1348 9.4232 2.7575
3.0582 3.1411 8.2504
3.3298 7.0447 10.6230
3.3298 11.8016 10.6230
5.0511 9.4232 6.6137
5.3348 3.1411 4.3721
7.0562 0.7626 0.3628
7.0562 5.5195 0.3628
7.3278 9.4232 2.7354
8.2511 3.1411 8.2283
8.5228 7.0447 5.8557
8.5228 11.8016 5.8557
10.2441 9.4232 9.8650
0.3874 0.5317 8.7097
0.3874 5.7504 8.7097
1.2876 9.4232 6.2948
3.9054 3.1411 0.8019
4.8056 6.8139 3.2168
4.8056 12.0325 3.2168
5.5804 0.5317 7.7690
5.5804 5.7504 7.7690
6.4806 9.4232 10.1839
9.0984 3.1411 4.6910
9.9985 6.8139 2.2761
9.9985 12.0325 2.2761
2.2433 9.4232 0.0644
2.9497 3.1411 5.5573
7.4363 9.4232 5.4285
8.1426 3.1411 10.9214
```

---

This entry pairs a crystal structure of CaTbZnHg with its simulated powder X-ray diffraction pattern. Radiation: Cu Kα, 1.54184 Å. Structure: DFT lattice parameters and positions (GGA-PBE).
Intensities are scaled so that the largest is 100.

Main lines, by angle (2θ = 15–90°):
2θ (°)	I_rel
26.9	24
34.2	52
34.3	100
49.1	19
61.3	37
61.6	17

Structural model:
```
CaTbZnHg
1.0
3.7115 0.0000 0.0000
0.0000 3.7115 0.0000
0.0000 0.0000 7.3472
Ca Tb Zn Hg
1 1 1 1
Cartesian
0.0000 0.0000 0.0000
0.0000 0.0000 3.5274
1.8557 1.8557 1.9071
1.8557 1.8557 5.3595
```

---

This entry pairs a crystal structure of Pm2PrHo6Tm3 with its simulated powder X-ray diffraction pattern. Radiation: Cu Kα, 1.54184 Å. Structure: DFT lattice parameters and positions (GGA-PBE).
Intensities are scaled so that the largest is 100.

Main lines, by angle (2θ = 15–90°):
2θ (°)	I_rel
30.8	100
35.8	51
51.4	18
51.5	18
61.2	32
61.3	10

Structural model:
```
Pm2PrHo6Tm3
1.0
3.0791 -5.3294 0.0000
3.0791 5.3294 0.0000
-2.0494 0.0000 11.5748
Pm Pr Ho Tm
2 1 6 3
Cartesian
3.0791 3.5532 0.0000
3.0791 -3.5532 0.0000
3.0791 0.0000 0.0000
-0.0031 1.7782 8.6231
1.0292 0.0000 2.9514
-0.0031 -1.7782 8.6231
4.1119 1.7782 2.9517
3.0795 0.0000 8.6233
4.1119 -1.7782 2.9517
-1.0247 0.0000 5.7874
2.0544 1.7776 5.7874
2.0544 -1.7776 5.7874
```

---

This entry pairs a crystal structure of Tb4Al2Hg5 with its simulated powder X-ray diffraction pattern. Radiation: Cu Kα, 1.54184 Å. Structure: DFT lattice parameters and positions (GGA-PBE).
Intensities are scaled so that the largest is 100.

Main lines, by angle (2θ = 15–90°):
2θ (°)	I_rel
30.1	31
32.5	80
33.3	100
38.3	56
49.4	24
64.2	26

Structural model:
```
Tb4Al2Hg5
1.0
7.8951 0.0000 0.0000
0.0000 3.6883 0.0000
-0.5460 0.0000 9.4043
Tb Al Hg
4 2 5
Cartesian
1.5719 0.0000 1.3094
1.6783 0.0000 5.7554
5.6708 0.0000 3.6489
5.7772 0.0000 8.0949
0.3247 1.8442 3.5642
7.0244 1.8442 5.8402
0.5565 1.8442 8.1902
3.0817 1.8442 3.3253
3.9475 1.8442 0.0000
4.2674 1.8442 6.0790
6.7926 1.8442 1.2142
```

---

This entry pairs a crystal structure of La3Pr7Er2 with its simulated powder X-ray diffraction pattern. Radiation: Cu Kα, 1.54184 Å. Structure: DFT lattice parameters and positions (GGA-PBE).
Intensities are scaled so that the largest is 100.

Main lines, by angle (2θ = 15–90°):
2θ (°)	I_rel
29.7	57
29.8	37
30.2	100
30.5	84
31.9	33
33.6	39

Structural model:
```
La3Pr7Er2
1.0
6.0318 0.0000 0.0000
0.0000 3.6609 0.0000
-1.0421 0.0000 19.5244
La Pr Er
3 7 2
Cartesian
0.0000 0.0000 0.0000
1.0032 1.8304 12.3891
3.9864 1.8304 7.1352
0.9884 1.8304 2.8568
0.9890 0.0000 9.0540
1.0049 0.0000 15.9662
3.0159 1.8304 0.0000
3.9847 0.0000 3.5582
4.0007 0.0000 10.4703
4.0012 1.8304 16.6676
0.9934 0.0000 5.7587
3.9962 0.0000 13.7656
```

---

This entry pairs a crystal structure of Rb3Pu2HgO9 with its simulated powder X-ray diffraction pattern. Radiation: Cu Kα, 1.54184 Å. Structure: DFT lattice parameters and positions (GGA-PBE).
Intensities are scaled so that the largest is 100.

Main lines, by angle (2θ = 15–90°):
2θ (°)	I_rel
20.4	63
28.8	100
29.1	97
41.4	55
51.0	21
51.4	41

Structural model:
```
Rb3Pu2HgO9
1.0
6.1433 0.0000 0.0000
-3.0717 5.3203 0.0000
0.0000 0.0000 7.6093
Rb Pu Hg O
3 2 1 9
Cartesian
0.0000 0.0000 0.0000
0.0000 3.5468 4.9775
3.0717 1.7734 2.6318
0.0000 3.5468 1.2127
3.0717 1.7734 6.3966
0.0000 0.0000 3.8047
-1.5358 2.6601 0.0000
0.0000 1.9251 2.3461
-1.4045 4.3577 2.3461
1.6672 0.9625 5.2633
3.0717 0.0000 0.0000
1.5358 2.6601 0.0000
1.4045 4.3577 2.3461
4.4762 0.9625 5.2633
3.0717 3.3952 5.2633
```

---

This entry pairs a crystal structure of Ac2AgAu5 with its simulated powder X-ray diffraction pattern. Radiation: Cu Kα, 1.54184 Å. Structure: DFT lattice parameters and positions (GGA-PBE).
Intensities are scaled so that the largest is 100.

Main lines, by angle (2θ = 15–90°):
2θ (°)	I_rel
33.3	100
37.6	42
40.5	18
56.5	21
65.1	18
69.2	16

Structural model:
```
Ac2AgAu5
1.0
-3.3835 3.3835 4.4497
3.3835 -3.3835 4.4497
3.3835 3.3835 -4.4497
Ac Ag Au
2 1 5
Cartesian
3.3835 0.0000 0.0000
0.0000 3.3835 0.0000
0.0000 0.0000 2.8836
0.0000 0.0000 0.0441
1.9489 1.9489 2.1907
1.4346 -1.4346 6.6404
-1.4346 1.4346 6.6404
1.4346 1.4346 6.6404
```

---

This entry pairs a crystal structure of RbBi3F10 with its simulated powder X-ray diffraction pattern. Radiation: Cu Kα, 1.54184 Å. Structure: DFT lattice parameters and positions (GGA-PBE).
Intensities are scaled so that the largest is 100.

Main lines, by angle (2θ = 15–90°):
2θ (°)	I_rel
25.4	100
29.4	44
42.1	48
49.8	57
67.2	21
76.9	17

Structural model:
```
RbBi3F10
1.0
0.0000 6.0743 6.0743
6.0743 0.0000 6.0743
6.0743 6.0743 0.0000
Rb Bi F
2 6 20
Cartesian
3.0372 3.0372 3.0372
9.1115 9.1115 9.1115
6.0743 6.0743 2.9260
6.0743 2.9260 6.0743
9.2227 6.0743 6.0743
2.9260 6.0743 6.0743
6.0743 9.2227 6.0743
6.0743 6.0743 9.2227
1.3717 1.3717 1.3717
4.7026 4.7026 1.3717
4.7026 1.3717 4.7026
6.0743 4.0781 4.0781
8.0706 6.0743 4.0781
8.0706 4.0781 6.0743
10.7770 7.4461 7.4461
4.0781 6.0743 4.0781
6.0743 8.0706 4.0781
4.0781 4.0781 6.0743
8.0706 8.0706 6.0743
6.0743 4.0781 8.0706
8.0706 6.0743 8.0706
1.3717 4.7026 4.7026
4.0781 8.0706 6.0743
4.0781 6.0743 8.0706
6.0743 8.0706 8.0706
7.4461 10.7770 7.4461
7.4461 7.4461 10.7770
10.7770 10.7770 10.7770
```